# 1
# Pm7Pr3Y
Simulated PXRD pattern, CuKα. Input: a crystal structure in Alexandria, relaxed with GGA-PBE.
Kinematic intensities with the Lorentz-polarization factor, no thermal factor.

Crystal structure
abc: 5.9946 11.4123 11.4778
angles: 90.00 90.00 90.00
Space group Immm (No. 71)
Symmetry-distinct sites (fractional):
Pm 0.0000 0.0000 0.0000 [2 per cell]
Pm 0.0000 0.2025 0.2993 [8 per cell]
Pm 0.0000 0.5000 0.2077 [4 per cell]
Pr 0.0000 0.0000 0.5000 [2 per cell]
Pr 0.0000 0.2890 0.0000 [4 per cell]
Y 0.0000 0.5000 0.5000 [2 per cell]

Most intense lines, 10° ≤ 2θ ≤ 80°, by angle:
d (Å)  I_rel  hkl
2.997  372  2 0 0
2.869  138  0 0 4
2.853  150  0 4 0
2.805  1000  1 3 2
2.067  119  2 4 0
1.691  222  3 3 2


# 2
# PmPr5Y5
Simulated PXRD pattern, CuKα. Input: a crystal structure in Alexandria, relaxed with GGA-PBE.
Kinematic intensities with the Lorentz-polarization factor, no thermal factor.

Crystal structure
abc: 18.7585 6.1465 7.0388
angles: 90.00 108.14 90.00
Space group C2/m (No. 12)
Symmetry-distinct sites (fractional):
Pm 0.0000 0.0000 0.0000 [2 per cell]
Pr 0.0000 0.0000 0.5000 [2 per cell]
Pr 0.1265 0.5000 0.6492 [4 per cell]
Pr 0.1732 0.5000 0.1939 [4 per cell]
Y 0.0000 0.5000 0.0000 [2 per cell]
Y 0.1732 0.0000 0.9196 [4 per cell]
Y 0.1780 0.0000 0.4145 [4 per cell]

Most intense lines, 10° ≤ 2θ ≤ 80°, by angle:
d (Å)  I_rel  hkl
3.073  974  0 2 0
2.972  673  6 0 0
2.779  1000  1 1 2
2.651  712  5 1 -2
2.136  414  6 2 0
1.712  291  1 3 2


# 3
# Pm2Pr5Y12
Simulated PXRD pattern, CuKα. Input: a crystal structure in Alexandria, relaxed with GGA-PBE.
Kinematic intensities with the Lorentz-polarization factor, no thermal factor.

Crystal structure
abc: 6.8845 7.0697 14.0828
angles: 89.25 79.01 74.89
Space group P-1 (No. 2)
Symmetry-distinct sites (fractional):
Pm 0.2394 0.0605 0.0159 [2 per cell]
Pr 0.0741 0.6013 0.3905 [2 per cell]
Pr 0.2354 0.5645 0.0067 [2 per cell]
Pr 0.5000 0.5000 0.5000 [1 per cell]
Y 0.0578 0.1200 0.8071 [2 per cell]
Y 0.1124 0.0892 0.3919 [2 per cell]
Y 0.1134 0.6158 0.7732 [2 per cell]
Y 0.3623 0.0025 0.6057 [2 per cell]
Y 0.4386 0.2603 0.2016 [2 per cell]
Y 0.4615 0.7626 0.2086 [2 per cell]

Most intense lines, 10° ≤ 2θ ≤ 80°, by angle:
d (Å)  I_rel  hkl
3.012  600  0 2 2
2.986  375  1 2 -2
2.944  920  2 0 3
2.792  501  0 2 -3
2.763  819  0 0 5
2.747  1000  2 0 -2


# 4
# Pm3Pr6Y
Simulated PXRD pattern, CuKα. Input: a crystal structure in Alexandria, relaxed with GGA-PBE.
Kinematic intensities with the Lorentz-polarization factor, no thermal factor.

Crystal structure
abc: 11.0430 19.5121 6.5918
angles: 90.00 90.00 90.00
Space group Cmc2_1 (No. 36)
Symmetry-distinct sites (fractional):
Pm 0.0000 0.1158 0.0000 [4 per cell]
Pm 0.1743 0.3827 0.6187 [8 per cell]
Pr 0.0000 0.2201 0.4299 [4 per cell]
Pr 0.0000 0.4684 0.2279 [4 per cell]
Pr 0.1714 0.0416 0.5275 [8 per cell]
Pr 0.2302 0.2092 0.7208 [8 per cell]
Y 0.0000 0.3116 0.9773 [4 per cell]

Most intense lines, 10° ≤ 2θ ≤ 80°, by angle:
d (Å)  I_rel  hkl
3.207  487  3 3 0
3.197  500  2 4 1
3.171  422  3 1 1
2.916  1000  0 6 1
2.881  584  3 3 1
2.718  597  2 2 2


# 5
# Pm5Pr3Y3
Simulated PXRD pattern, CuKα. Input: a crystal structure in Alexandria, relaxed with GGA-PBE.
Kinematic intensities with the Lorentz-polarization factor, no thermal factor.

Crystal structure
abc: 9.7133 9.7133 5.6405
angles: 90.00 90.00 120.00
Space group P-62m (No. 189)
Symmetry-distinct sites (fractional):
Pm 0.0000 0.6180 0.0000 [3 per cell]
Pm 0.3333 0.6667 0.0000 [2 per cell]
Pr 0.0000 0.4086 0.5000 [3 per cell]
Y 0.0000 0.2478 0.0000 [3 per cell]

Most intense lines, 10° ≤ 2θ ≤ 80°, by angle:
d (Å)  I_rel  hkl
8.412  485  1 0 0
5.640  495  0 0 1
3.680  728  1 1 1
2.820  537  0 0 2
2.804  608  3 0 0
2.770  1000  2 1 1


# 6
# Pm4Pr8Y
Simulated PXRD pattern, CuKα. Input: a crystal structure in Alexandria, relaxed with GGA-PBE.
Kinematic intensities with the Lorentz-polarization factor, no thermal factor.

Crystal structure
abc: 11.9397 11.9397 11.8811
angles: 90.00 90.00 120.00
Space group R-3m (No. 166, hexagonal axes)
Symmetry-distinct sites (fractional):
Pm 0.0000 0.0000 0.0000 [3 per cell]
Pm 0.0000 0.5000 0.0000 [9 per cell]
Pr 0.0000 0.0000 0.2412 [6 per cell]
Pr 0.0008 0.5004 0.6684 [18 per cell]
Y 0.0000 0.0000 0.5000 [3 per cell]

Most intense lines, 10° ≤ 2θ ≤ 80°, by angle:
d (Å)  I_rel  hkl
3.960  352  0 0 3
2.985  1000  2 2 0
2.384  553  2 2 3
1.723  200  6 0 0
1.650  167  2 2 6
1.580  155  6 0 3


# 7
# Pm2Pr12Y7
Simulated PXRD pattern, CuKα. Input: a crystal structure in Alexandria, relaxed with GGA-PBE.
Kinematic intensities with the Lorentz-polarization factor, no thermal factor.

Crystal structure
abc: 15.3196 15.3196 3.6040
angles: 90.00 90.00 120.00
Space group P-6 (No. 174)
Symmetry-distinct sites (fractional):
Pm 0.0000 0.0000 0.0000 [1 per cell]
Pm 0.3333 0.6667 0.5000 [1 per cell]
Pr 0.0511 0.2528 0.5000 [3 per cell]
Pr 0.1288 0.7123 0.0000 [3 per cell]
Pr 0.4152 0.1501 0.0000 [3 per cell]
Pr 0.4932 0.3963 0.5000 [3 per cell]
Y 0.0982 0.4779 0.0000 [3 per cell]
Y 0.2332 0.1876 0.5000 [3 per cell]
Y 0.6667 0.3333 0.0000 [1 per cell]

Most intense lines, 10° ≤ 2θ ≤ 80°, by angle:
d (Å)  I_rel  hkl
2.927  977  2 1 1
2.895  1000  1 4 0
2.058  304  4 2 1
1.677  314  7 0 1
1.672  167  6 3 0
1.530  292  1 4 2


# 8
# PmPr2Y8
Simulated PXRD pattern, CuKα. Input: a crystal structure in Alexandria, relaxed with GGA-PBE.
Kinematic intensities with the Lorentz-polarization factor, no thermal factor.

Crystal structure
abc: 19.1199 7.0843 5.6453
angles: 90.00 92.90 90.00
Space group C2/m (No. 12)
Symmetry-distinct sites (fractional):
Pm 0.0000 0.0000 0.0000 [2 per cell]
Pr 0.2157 0.5000 0.2504 [4 per cell]
Y 0.0464 0.5000 0.2359 [4 per cell]
Y 0.1298 0.2653 0.7308 [8 per cell]
Y 0.1853 0.0000 0.2325 [4 per cell]

Most intense lines, 10° ≤ 2θ ≤ 80°, by angle:
d (Å)  I_rel  hkl
2.884  822  2 2 -1
2.843  958  4 2 0
2.833  1000  6 0 -1
2.819  385  0 0 2
2.713  287  6 0 1
1.501  274  6 4 -1


# 9
# PmPr2Y8
Simulated PXRD pattern, CuKα. Input: a crystal structure in Alexandria, relaxed with GGA-PBE.
Kinematic intensities with the Lorentz-polarization factor, no thermal factor.

Crystal structure
abc: 9.1117 16.1155 5.9629
angles: 90.00 121.82 90.00
Space group C2/m (No. 12)
Symmetry-distinct sites (fractional):
Pm 0.0000 0.0000 0.0000 [2 per cell]
Pr 0.0000 0.3054 0.5000 [4 per cell]
Y 0.0000 0.2095 0.0000 [4 per cell]
Y 0.0769 0.5000 0.7968 [4 per cell]
Y 0.2137 0.1149 0.6658 [8 per cell]

Most intense lines, 10° ≤ 2θ ≤ 80°, by angle:
d (Å)  I_rel  hkl
3.154  269  0 4 1
2.983  732  3 1 -1
2.949  347  2 0 -2
2.922  306  1 3 1
2.828  1000  1 5 -1
2.791  548  2 4 0


# 10
# Pm3Pr5Y2
Simulated PXRD pattern, CuKα. Input: a crystal structure in Alexandria, relaxed with GGA-PBE.
Kinematic intensities with the Lorentz-polarization factor, no thermal factor.

Crystal structure
abc: 10.9145 14.8932 10.2787
angles: 90.00 122.05 90.00
Space group C2/c (No. 15)
Symmetry-distinct sites (fractional):
Pm 0.0000 0.2300 0.2500 [4 per cell]
Pm 0.1533 0.1250 0.0586 [8 per cell]
Pr 0.0000 0.0204 0.2500 [4 per cell]
Pr 0.0000 0.2702 0.7500 [4 per cell]
Pr 0.0000 0.4803 0.7500 [4 per cell]
Pr 0.2477 0.3739 0.2487 [8 per cell]
Y 0.1552 0.3735 0.5579 [8 per cell]

Most intense lines, 10° ≤ 2θ ≤ 80°, by angle:
d (Å)  I_rel  hkl
3.096  792  2 2 1
2.900  1000  2 4 -2
2.729  410  4 0 -2
2.564  198  2 0 2
1.552  201  4 6 -5
1.516  238  2 4 4


# 11
# Pm2Pr12Y
Simulated PXRD pattern, CuKα. Input: a crystal structure in Alexandria, relaxed with GGA-PBE.
Kinematic intensities with the Lorentz-polarization factor, no thermal factor.

Crystal structure
abc: 6.6580 6.6580 25.8097
angles: 90.00 90.00 90.00
Space group P4/nbm (No. 125, origin choice 2)
Symmetry-distinct sites (fractional):
Pm 0.2500 0.7500 0.2323 [4 per cell]
Pr 0.0655 0.5655 0.3865 [8 per cell]
Pr 0.0821 0.5821 0.9377 [8 per cell]
Pr 0.2500 0.2500 0.1628 [4 per cell]
Pr 0.2500 0.2500 0.2856 [4 per cell]
Y 0.2500 0.7500 0.5000 [2 per cell]

Most intense lines, 10° ≤ 2θ ≤ 80°, by angle:
d (Å)  I_rel  hkl
3.223  536  2 0 2
2.958  336  2 0 4
2.902  1000  1 1 7
2.868  297  0 0 9
2.354  297  2 2 0
1.697  321  3 1 9


# 12
# Pm3Pr3Y4
Simulated PXRD pattern, CuKα. Input: a crystal structure in Alexandria, relaxed with GGA-PBE.
Kinematic intensities with the Lorentz-polarization factor, no thermal factor.

Crystal structure
abc: 3.6915 13.7428 13.7520
angles: 90.00 90.00 90.00
Space group Amm2 (No. 38)
Symmetry-distinct sites (fractional):
Pm 0.0000 0.0000 0.0000 [2 per cell]
Pm 0.5000 0.2490 0.0742 [4 per cell]
Pr 0.0000 0.0000 0.6501 [2 per cell]
Pr 0.0000 0.1753 0.3244 [4 per cell]
Y 0.5000 0.0000 0.2010 [2 per cell]
Y 0.5000 0.0000 0.4476 [2 per cell]
Y 0.5000 0.1226 0.8262 [4 per cell]

Most intense lines, 10° ≤ 2θ ≤ 80°, by angle:
d (Å)  I_rel  hkl
3.074  756  0 4 2
2.940  519  1 2 2
2.814  1000  1 1 3
2.359  234  0 5 3
1.694  224  1 4 6
1.582  209  2 4 2